The following is a calculated powder X-ray diffraction pattern of Mg2Zn16Ag. It was derived from a crystal structure in Alexandria, relaxed with PBE, using copper Kα.

Structural model:
```
19
Lattice="4.4911 2.5929 4.3877 -4.4911 2.5929 4.3877 0.0000 -5.1859 4.3877" Properties=species:S:1:pos:R:3 pbc="T T T"
Mg 0.0000 0.0000 0.0000
Mg 0.0000 0.0000 4.0116
Zn 0.0000 -2.5164 2.1770
Zn -2.1793 1.2582 2.1770
Zn -2.2768 -1.3145 6.3833
Zn 0.0000 -2.6664 6.1840
Zn -2.3091 1.3332 6.1840
Zn -1.3684 -2.3773 8.5703
Zn -2.7430 0.0036 8.5703
Zn 2.1793 1.2582 2.1770
Zn 1.3684 -2.3774 8.5703
Zn -1.3746 2.3737 8.5703
Zn 2.2768 -1.3145 6.3833
Zn 0.0000 2.6290 6.3833
Zn 0.0000 0.0000 10.0473
Zn 2.3091 1.3332 6.1840
Zn 2.7430 0.0036 8.5703
Zn 1.3746 2.3737 8.5703
Ag 0.0000 0.0000 7.2369
```

Peak list (10 most intense, 2θ = 10–90°, sorted by position)
Position (°2θ), intensity
13.2, 28
34.6, 26
35.7, 22
40.2, 47
40.4, 66
41.2, 37
45.4, 100
46.0, 31
73.0, 21
74.5, 22

The following is a calculated powder X-ray diffraction pattern of Ni5PdS8. It was derived from a crystal structure in Alexandria, relaxed with PBE, using copper Kα.

Structural model:
```
14
Lattice="0.0000 4.7889 4.7889 4.7889 0.0000 4.7889 4.7889 4.7889 0.0000" Properties=species:S:1:pos:R:3 pbc="T T T"
Ni 0.0000 0.0000 0.0000
Ni 3.5886 3.5886 3.5886
Ni 5.9892 5.9892 3.5886
Ni 5.9892 3.5886 5.9892
Ni 3.5886 5.9892 5.9892
Pd 7.1833 7.1833 7.1833
S 1.2828 1.2828 1.2828
S 3.5061 3.5061 1.2828
S 3.5061 1.2828 3.5061
S 5.8478 3.7299 3.7299
S 1.2828 3.5061 3.5061
S 3.7299 5.8478 3.7299
S 3.7299 3.7299 5.8478
S 5.8478 5.8478 5.8478
```

Peak list (10 most intense, 2θ = 10–90°, sorted by position)
Position (°2θ), intensity
26.3, 41
31.0, 100
37.6, 28
46.4, 15
49.4, 48
54.2, 71
63.7, 12
76.4, 18
80.2, 10
88.4, 13

The following is a calculated powder X-ray diffraction pattern of Zn3Rh5. It was derived from a crystal structure in Alexandria, relaxed with PBE, using copper Kα.

Structural model:
```
16
Lattice="2.4414 -6.8163 0.0000 2.4414 6.8163 0.0000 -2.3523 0.0000 6.8543" Properties=species:S:1:pos:R:3 pbc="T T T"
Zn 2.4414 4.4824 0.0000
Zn 1.2652 3.4359 3.4271
Zn -0.1237 0.0000 4.5053
Zn 2.6542 0.0000 2.3490
Zn 1.2652 -3.4359 3.4271
Zn 2.4414 -4.4824 0.0000
Rh 0.1036 1.3553 2.3735
Rh 0.0381 2.3357 5.5061
Rh 1.2252 0.0000 0.2107
Rh 0.1036 -1.3553 2.3735
Rh 2.4924 2.3357 1.3482
Rh 0.0381 -2.3357 5.5061
Rh 2.4269 1.3553 4.4808
Rh 1.3053 0.0000 6.6436
Rh 2.4924 -2.3357 1.3482
Rh 2.4269 -1.3553 4.4808
```

Peak list (10 most intense, 2θ = 10–90°, sorted by position)
Position (°2θ), intensity
36.8, 45
37.2, 35
38.4, 80
41.3, 58
41.7, 97
41.9, 62
42.5, 81
42.7, 45
42.9, 100
45.7, 53

The following is a calculated powder X-ray diffraction pattern of Nd2Dy3Y6Tm. It was derived from a crystal structure in Alexandria, relaxed with PBE, using copper Kα.

Structural model:
```
12
Lattice="3.0966 -5.3594 0.0000 3.0966 5.3594 0.0000 -2.0538 0.0000 11.6645" Properties=species:S:1:pos:R:3 pbc="T T T"
Nd 3.0966 3.5746 0.0000
Nd 3.0966 -3.5746 0.0000
Dy -1.0269 0.0000 5.8322
Dy 2.0697 1.7829 5.8322
Dy 2.0697 -1.7829 5.8322
Y 0.0102 1.7814 8.7267
Y 1.0418 0.0000 2.9416
Y 0.0102 -1.7814 8.7267
Y 4.1292 1.7814 2.9378
Y 3.0976 0.0000 8.7228
Y 4.1292 -1.7814 2.9378
Tm 3.0966 0.0000 0.0000
```

Peak list (10 most intense, 2θ = 10–90°, sorted by position)
Position (°2θ), intensity
15.2, 9
30.6, 100
35.5, 50
51.1, 35
60.8, 35
60.8, 7
63.8, 12
83.3, 9
83.4, 9
86.0, 11

The following is a calculated powder X-ray diffraction pattern of KInCu2F8. It was derived from a crystal structure in Alexandria, relaxed with PBE, using copper Kα.

Structural model:
```
12
Lattice="-2.7730 2.7730 5.3737 2.7730 -2.7730 5.3737 2.7730 2.7730 -5.3737" Properties=species:S:1:pos:R:3 pbc="T T T"
K 0.0000 0.0000 0.0000
In 2.7730 0.0000 2.6868
Cu 0.0000 0.0000 5.3737
Cu 0.0000 2.7730 2.6868
F 2.1592 1.1253 0.7762
F 1.6477 -0.6139 4.5975
F -1.0656 1.2656 2.1514
F 1.1253 3.3869 -0.7762
F 1.5075 1.7075 3.2223
F 0.6139 1.6477 6.1499
F 1.0656 4.2805 2.1514
F -1.5075 3.8386 3.2223
```

Peak list (10 most intense, 2θ = 10–90°, sorted by position)
Position (°2θ), intensity
18.0, 18
28.2, 100
32.3, 18
33.3, 18
46.3, 18
47.1, 23
55.1, 37
56.5, 16
58.3, 15
75.9, 10

The following is a calculated powder X-ray diffraction pattern of Rb2AlAu3. It was derived from a crystal structure in Alexandria, relaxed with PBE, using copper Kα.

Structural model:
```
12
Lattice="7.1168 -4.9175 0.0000 7.1168 4.9175 0.0000 -0.0061 0.0000 5.4251" Properties=species:S:1:pos:R:3 pbc="T T T"
Rb 4.8742 3.2517 4.0673
Rb 9.3503 3.2517 4.0704
Rb 4.8773 -3.2517 1.3547
Rb 9.3533 -3.2517 1.3578
Al 7.1153 1.3860 1.3563
Al 7.1122 -1.3860 4.0688
Au 7.1153 3.9340 1.3563
Au 5.3630 -0.0004 2.7091
Au 5.3600 0.0004 5.4216
Au 8.8675 -0.0004 0.0035
Au 8.8645 0.0004 2.7160
Au 7.1122 -3.9340 4.0688
```

Peak list (10 most intense, 2θ = 10–90°, sorted by position)
Position (°2θ), intensity
18.0, 70
20.8, 85
26.6, 75
27.5, 40
27.9, 69
32.8, 56
33.2, 41
34.9, 100
37.9, 45
45.9, 55

The following is a calculated powder X-ray diffraction pattern of Zn2FeN2. It was derived from a crystal structure in Alexandria, relaxed with PBE, using copper Kα.

Structural model:
```
10
Lattice="5.8378 -1.7908 0.0000 5.8378 1.7908 0.0000 -4.1345 0.0000 6.0312" Properties=species:S:1:pos:R:3 pbc="T T T"
Zn -0.4610 0.0000 2.0835
Zn 2.9235 0.0000 1.4003
Zn 4.6176 0.0000 4.6308
Zn 8.0020 0.0000 3.9476
Fe 0.7615 0.0000 5.2875
Fe 6.7796 0.0000 0.7437
N -0.5941 0.0000 4.0442
N 4.9654 0.0000 1.1354
N 2.5757 0.0000 4.8958
N 8.1352 0.0000 1.9869
```

Peak list (10 most intense, 2θ = 10–90°, sorted by position)
Position (°2θ), intensity
29.6, 46
31.3, 31
33.0, 82
34.0, 24
36.9, 100
37.5, 35
37.6, 27
48.0, 25
51.0, 35
57.9, 35

The following is a calculated powder X-ray diffraction pattern of Y3MgN. It was derived from a crystal structure in Alexandria, relaxed with PBE, using copper Kα.

Structural model:
```
10
Lattice="3.4514 1.9926 5.6464 -3.4514 1.9926 5.6464 0.0000 -3.9853 5.6464" Properties=species:S:1:pos:R:3 pbc="T T T"
Y -1.8010 0.8659 7.0580
Y -1.6504 -1.1267 9.8812
Y 0.1506 -1.9926 7.0580
Y -0.1505 1.9926 9.8812
Y 1.6504 1.1267 7.0580
Y 1.8010 -0.8659 9.8812
Mg 0.0000 0.0000 4.2348
Mg 0.0000 0.0000 12.7045
N 0.0000 0.0000 0.0000
N 0.0000 0.0000 8.4696
```

Peak list (10 most intense, 2θ = 10–90°, sorted by position)
Position (°2θ), intensity
18.2, 24
25.8, 8
31.7, 100
36.8, 59
41.3, 11
53.0, 38
63.1, 36
66.3, 9
86.9, 8
89.8, 8

The following is a calculated powder X-ray diffraction pattern of KDySnO3. It was derived from a crystal structure in Alexandria, relaxed with PBE, using copper Kα.

Structural model:
```
12
Lattice="7.1019 0.0000 0.0000 0.0000 3.4484 0.0000 -0.2434 0.0000 10.0645" Properties=species:S:1:pos:R:3 pbc="T T T"
K 1.1070 0.8621 2.1136
K 5.7515 2.5863 7.9509
Dy 2.5251 0.8621 8.8301
Dy 4.3334 2.5863 1.2344
Sn 1.6399 2.5863 6.0398
Sn 5.2186 0.8621 4.0247
O 0.8096 0.8621 7.1690
O 2.3218 2.5863 0.1806
O 3.1504 2.5863 7.4434
O 3.7081 0.8621 2.6211
O 4.5368 0.8621 9.8839
O 6.0489 2.5863 2.8955
```

Peak list (10 most intense, 2θ = 10–90°, sorted by position)
Position (°2θ), intensity
12.5, 43
15.1, 100
26.4, 32
29.7, 30
30.2, 48
31.4, 48
33.8, 32
37.6, 21
39.3, 25
46.6, 21

The following is a calculated powder X-ray diffraction pattern of TePOs4. It was derived from a crystal structure in Alexandria, relaxed with PBE, using copper Kα.

Structural model:
```
6
Lattice="0.0000 3.7236 3.7236 3.7236 0.0000 3.7236 3.7236 3.7236 0.0000" Properties=species:S:1:pos:R:3 pbc="T T T"
Te 0.0000 0.0000 0.0000
P 5.5853 5.5853 5.5853
Os 2.7958 2.7958 2.7958
Os 4.6513 4.6513 2.7958
Os 4.6513 2.7958 4.6513
Os 2.7958 4.6513 4.6513
```

Peak list (10 most intense, 2θ = 10–90°, sorted by position)
Position (°2θ), intensity
20.7, 55
40.2, 100
42.0, 70
48.9, 21
53.6, 14
65.1, 32
71.7, 31
75.5, 10
85.5, 12
86.7, 28

The following is a calculated powder X-ray diffraction pattern of LaY2Cu2. It was derived from a crystal structure in Alexandria, relaxed with PBE, using copper Kα.

Structural model:
```
10
Lattice="8.4130 0.0000 0.0000 0.0000 8.4130 0.0000 0.0000 0.0000 3.3497" Properties=species:S:1:pos:R:3 pbc="T T T"
La 0.0000 0.0000 0.0000
La 4.2065 4.2065 0.0000
Y 1.1787 3.0278 0.0000
Y 3.0278 7.2343 0.0000
Y 5.3852 1.1787 0.0000
Y 7.2343 5.3852 0.0000
Cu 1.2995 5.5060 1.6749
Cu 2.9070 1.2995 1.6749
Cu 5.5060 7.1135 1.6749
Cu 7.1135 2.9070 1.6749
```

Peak list (10 most intense, 2θ = 10–90°, sorted by position)
Position (°2θ), intensity
26.6, 15
30.0, 18
30.6, 15
33.7, 99
34.2, 22
35.9, 100
43.4, 26
48.4, 15
54.8, 12
65.9, 50